The following is a computed powder XRD pattern of Sr3MgCo2S2O5. It was derived from a GGA+U-relaxed structure, using Cu Kα, 1.54184 Å.
Peak positions follow from Bragg's law for the DFT cell and can differ from measured ones.

Structural model:
```
13
Lattice="-1.9355 1.9355 14.0210 1.9355 -1.9355 14.0210 1.9355 1.9355 -14.0210" Properties=species:S:1:pos:R:3 pbc="T T T"
Sr 0.0000 0.0000 0.0000
Sr 0.0000 0.0000 3.8429
Sr 0.0000 0.0000 24.1992
Mg 1.9355 0.0000 7.0105
Co 0.0000 0.0000 12.0808
Co 0.0000 0.0000 15.9613
S 0.0000 0.0000 8.5956
S 0.0000 0.0000 19.4465
O 1.9355 0.0000 2.1895
O 1.9355 0.0000 11.8316
O 0.0000 0.0000 14.0210
O 0.0000 1.9355 2.1641
O 0.0000 1.9355 11.8569
```

Top 10 peaks for 2θ from 10° to 90°, in order of rising 2θ:
two_theta, I/Imax
32.16, 100
32.72, 41
37.04, 14
38.10, 15
45.27, 9
46.94, 31
56.97, 13
58.04, 35
67.27, 10
68.57, 9


The following is a computed powder XRD pattern of YFeW2O8. It was derived from a GGA+U-relaxed structure, using Cu Kα, 1.54184 Å.
Peak positions follow from Bragg's law for the DFT cell and can differ from measured ones.

Structural model:
```
24
Lattice="5.9603 0.0000 0.0000 1.9765 5.6850 0.0000 2.0408 1.3295 9.5005" Properties=species:S:1:pos:R:3 pbc="T T T"
Y 0.0000 0.0000 0.0000
Y 5.9745 6.3482 4.7476
Fe 4.0001 4.2687 7.1712
Fe 5.9587 3.5910 2.4274
W 2.8734 4.3195 3.6472
W 3.0857 2.0932 1.2036
W 6.8749 4.9860 8.3965
W 7.0867 2.7529 5.9571
O 2.3449 4.0414 1.6107
O 1.3930 1.4363 1.2196
O 2.0925 1.2045 5.8156
O 3.0104 3.7884 5.5651
O 3.5541 2.3415 3.1061
O 5.9464 6.5549 8.4139
O 5.1098 3.9061 8.8045
O 4.7742 4.8700 3.5337
O 6.3458 4.7040 6.3609
O 5.3948 2.0945 5.9656
O 4.0527 0.5466 1.0594
O 4.9711 3.1309 0.8144
O 7.5537 3.0058 7.8575
O 7.9042 5.8878 3.6635
O 7.0679 3.2355 4.0566
O 8.7773 5.5356 8.2842
```

Top 10 peaks for 2θ from 10° to 90°, in order of rising 2θ:
two_theta, I/Imax
15.74, 39
17.18, 63
18.77, 47
26.17, 99
27.46, 80
29.81, 72
30.32, 33
31.32, 65
34.73, 100
48.15, 29


The following is a computed powder XRD pattern of LaFeWO6. It was derived from a GGA+U-relaxed structure, using Cu Kα, 1.54184 Å.
Peak positions follow from Bragg's law for the DFT cell and can differ from measured ones.

Structural model:
```
18
Lattice="5.5230 0.0000 0.0000 0.0000 5.5754 0.0000 -5.5241 0.0000 7.8253" Properties=species:S:1:pos:R:3 pbc="T T T"
La 0.0000 1.1990 0.0000
La -2.7621 4.3763 3.9126
Fe 2.7336 1.4205 1.9653
Fe -0.0285 4.1548 5.8779
W -2.7994 1.4404 5.8749
W -0.0374 4.1350 1.9623
O -4.3341 2.5906 6.1723
O -1.5721 2.9848 2.2597
O -1.2945 0.0598 2.2020
O -4.0566 5.5156 6.1147
O 1.1192 2.6107 1.6942
O -1.6429 2.9647 5.6069
O -1.3471 0.1518 5.6787
O 1.4149 5.4236 1.7661
O -2.4045 1.4479 7.8007
O 0.3576 4.1275 3.8881
O 2.4386 1.3370 3.9693
O 5.2006 4.2383 0.0567
```

Top 10 peaks for 2θ from 10° to 90°, in order of rising 2θ:
two_theta, I/Imax
19.55, 50
19.67, 51
22.68, 30
32.11, 24
32.31, 100
32.42, 24
38.13, 36
46.28, 30
57.37, 18
57.76, 32